Starting from DFT lattice parameters and positions (PBE), the X-ray diffraction stick pattern of CsNiPdSe2 was computed for a wavelength of 1.5418 Å.
Lines closer than 0.1° are merged.

The 10 most intense peaks (2θ = 5–70°), sorted by position:
| two_theta | intensity |
| --- | --- |
| 11.76 | 43 |
| 23.65 | 34 |
| 26.47 | 72 |
| 31.81 | 95 |
| 33.68 | 36 |
| 34.00 | 98 |
| 42.67 | 42 |
| 48.36 | 47 |
| 48.62 | 100 |
| 66.44 | 35 |

Structure:
Unit cell a=3.7656 b=4.2377 c=7.5240 alpha=90.00 beta=90.00 gamma=90.00
Element x y z (fractional)
Cs: 0.0000 0.0000 0.0000
Ni: 0.0000 0.5000 0.5000
Pd: 0.5000 0.0000 0.5000
Se: 0.5000 0.5000 0.2993
Se: 0.5000 0.5000 0.7007

---

Starting from DFT lattice parameters and positions (PBE), the X-ray diffraction stick pattern of Tb4Nd10Ho was computed for a wavelength of 1.5418 Å.
Lines closer than 0.1° are merged.

The 10 most intense peaks (2θ = 5–70°), sorted by position:
| two_theta | intensity |
| --- | --- |
| 19.64 | 29 |
| 22.71 | 10 |
| 32.34 | 100 |
| 38.12 | 16 |
| 46.38 | 18 |
| 50.83 | 7 |
| 52.25 | 4 |
| 57.67 | 38 |
| 61.51 | 4 |
| 67.69 | 12 |

Structure:
Unit cell a=9.5931 b=9.5931 c=9.5931 alpha=99.57 beta=99.57 gamma=131.89
Element x y z (fractional)
Tb: 0.1005 0.2992 0.3998
Tb: 0.2992 0.8995 0.1987
Tb: 0.7008 0.1005 0.8013
Tb: 0.8995 0.7008 0.6002
Nd: 0.0503 0.1512 0.7006
Nd: 0.1512 0.4505 0.1009
Nd: 0.2500 0.7500 0.5000
Nd: 0.3497 0.0503 0.8991
Nd: 0.4505 0.3497 0.2994
Nd: 0.5495 0.6503 0.7006
Nd: 0.6503 0.9497 0.1009
Nd: 0.7500 0.2500 0.5000
Nd: 0.8488 0.5495 0.8991
Nd: 0.9497 0.8488 0.2994
Ho: 0.5000 0.5000 0.0000

---

Starting from DFT lattice parameters and positions (PBE), the X-ray diffraction stick pattern of HgAuS2O8 was computed for a wavelength of 1.5418 Å.
Lines closer than 0.1° are merged.

The 10 most intense peaks (2θ = 5–70°), sorted by position:
| two_theta | intensity |
| --- | --- |
| 22.30 | 55 |
| 24.36 | 13 |
| 26.42 | 100 |
| 36.35 | 42 |
| 39.02 | 33 |
| 43.06 | 15 |
| 44.24 | 39 |
| 45.50 | 20 |
| 59.58 | 19 |
| 63.28 | 21 |

Structure:
Unit cell a=7.8463 b=7.8463 c=7.8463 alpha=36.72 beta=36.72 gamma=36.72
Element x y z (fractional)
Hg: 0.0000 0.0000 0.0000
Au: 0.5000 0.5000 0.5000
S: 0.2575 0.2575 0.2575
S: 0.7425 0.7425 0.7425
O: 0.0425 0.4683 0.7828
O: 0.2172 0.5317 0.9575
O: 0.3255 0.3255 0.3255
O: 0.4683 0.7828 0.0425
O: 0.5317 0.9575 0.2172
O: 0.6745 0.6745 0.6745
O: 0.7828 0.0425 0.4683
O: 0.9575 0.2172 0.5317

---

Starting from DFT lattice parameters and positions (PBE), the X-ray diffraction stick pattern of Tm4Te2PdSe was computed for a wavelength of 1.5418 Å.
Lines closer than 0.1° are merged.

The 10 most intense peaks (2θ = 5–70°), sorted by position:
| two_theta | intensity |
| --- | --- |
| 26.48 | 6 |
| 29.86 | 53 |
| 30.18 | 100 |
| 41.85 | 17 |
| 42.97 | 73 |
| 44.51 | 18 |
| 52.20 | 7 |
| 52.32 | 10 |
| 54.53 | 19 |
| 62.74 | 10 |

Structure:
Unit cell a=7.3713 b=4.0708 c=7.3863 alpha=90.00 beta=108.39 gamma=90.00
Element x y z (fractional)
Tm: 0.2228 0.0000 0.2099
Tm: 0.2520 0.5000 0.7785
Tm: 0.7480 0.5000 0.2215
Tm: 0.7772 0.0000 0.7901
Te: 0.0000 0.0000 0.5000
Te: 0.5000 0.5000 0.5000
Pd: 0.0000 0.5000 0.0000
Se: 0.5000 0.0000 0.0000

---

Starting from DFT lattice parameters and positions (PBE), the X-ray diffraction stick pattern of CsHgS was computed for a wavelength of 1.5418 Å.
Lines closer than 0.1° are merged.

The 10 most intense peaks (2θ = 5–70°), sorted by position:
| two_theta | intensity |
| --- | --- |
| 12.85 | 51 |
| 13.57 | 36 |
| 22.82 | 40 |
| 22.96 | 49 |
| 23.19 | 61 |
| 30.01 | 31 |
| 30.12 | 34 |
| 31.08 | 100 |
| 32.02 | 55 |
| 36.96 | 49 |

Structure:
Unit cell a=8.1125 b=4.0825 c=13.0549 alpha=90.00 beta=90.00 gamma=90.00
Element x y z (fractional)
Cs: 0.1205 0.2500 0.1531
Cs: 0.3795 0.7500 0.6531
Cs: 0.6205 0.2500 0.3469
Cs: 0.8795 0.7500 0.8469
Hg: 0.1089 0.2500 0.4481
Hg: 0.3911 0.7500 0.9481
Hg: 0.6089 0.2500 0.0519
Hg: 0.8911 0.7500 0.5519
S: 0.2252 0.2500 0.8673
S: 0.2748 0.7500 0.3673
S: 0.7252 0.2500 0.6327
S: 0.7748 0.7500 0.1327

---

Starting from DFT lattice parameters and positions (PBE), the X-ray diffraction stick pattern of PrGa2PtRh2 was computed for a wavelength of 1.5418 Å.
Lines closer than 0.1° are merged.

The 10 most intense peaks (2θ = 5–70°), sorted by position:
| two_theta | intensity |
| --- | --- |
| 15.76 | 25 |
| 18.98 | 13 |
| 26.96 | 63 |
| 37.32 | 100 |
| 38.50 | 74 |
| 50.79 | 10 |
| 54.70 | 66 |
| 55.59 | 25 |
| 62.84 | 12 |
| 68.88 | 16 |

Structure:
Unit cell a=4.6762 b=4.6762 c=5.6223 alpha=90.00 beta=90.00 gamma=90.00
Element x y z (fractional)
Pr: 0.0000 0.0000 0.0000
Ga: 0.0000 0.5000 0.5000
Ga: 0.5000 0.0000 0.5000
Pt: 0.0000 0.0000 0.5000
Rh: 0.5000 0.5000 0.2439
Rh: 0.5000 0.5000 0.7561

---

Starting from DFT lattice parameters and positions (PBE), the X-ray diffraction stick pattern of LiSm3Te4 was computed for a wavelength of 1.5418 Å.
Lines closer than 0.1° are merged.

The 10 most intense peaks (2θ = 5–70°), sorted by position:
| two_theta | intensity |
| --- | --- |
| 12.25 | 7 |
| 23.67 | 8 |
| 28.61 | 100 |
| 40.74 | 13 |
| 40.91 | 50 |
| 41.06 | 13 |
| 50.54 | 13 |
| 50.81 | 13 |
| 59.23 | 13 |
| 67.08 | 23 |

Structure:
Unit cell a=7.6517 b=7.6517 c=4.3963 alpha=90.00 beta=90.00 gamma=109.25
Element x y z (fractional)
Li: 0.0000 0.0000 0.0000
Sm: 0.0000 0.5000 0.5000
Sm: 0.5000 0.0000 0.5000
Sm: 0.5000 0.5000 0.0000
Te: 0.2398 0.2398 0.5000
Te: 0.2437 0.7563 0.0000
Te: 0.7563 0.2437 0.0000
Te: 0.7602 0.7602 0.5000

---

Starting from DFT lattice parameters and positions (PBE), the X-ray diffraction stick pattern of BaCaPr2Tl4 was computed for a wavelength of 1.5418 Å.
Lines closer than 0.1° are merged.

The 10 most intense peaks (2θ = 5–70°), sorted by position:
| two_theta | intensity |
| --- | --- |
| 22.02 | 17 |
| 23.87 | 8 |
| 30.68 | 97 |
| 31.98 | 100 |
| 44.91 | 34 |
| 53.72 | 13 |
| 56.19 | 36 |
| 56.99 | 20 |
| 63.89 | 8 |
| 66.86 | 13 |

Structure:
Unit cell a=10.2460 b=10.2460 c=10.2460 alpha=31.70 beta=31.70 gamma=31.70
Element x y z (fractional)
Ba: 0.0000 0.0000 0.0000
Ca: 0.5000 0.5000 0.5000
Pr: 0.2404 0.2404 0.2404
Pr: 0.7596 0.7596 0.7596
Tl: 0.1252 0.1252 0.1252
Tl: 0.3850 0.3850 0.3850
Tl: 0.6150 0.6150 0.6150
Tl: 0.8748 0.8748 0.8748

---

Starting from DFT lattice parameters and positions (PBE), the X-ray diffraction stick pattern of ZnRu was computed for a wavelength of 1.5418 Å.
Lines closer than 0.1° are merged.

The 10 most intense peaks (2θ = 5–70°), sorted by position:
| two_theta | intensity |
| --- | --- |
| 19.42 | 8 |
| 26.02 | 3 |
| 39.43 | 3 |
| 39.97 | 100 |
| 41.67 | 88 |
| 45.07 | 2 |
| 47.35 | 61 |
| 47.80 | 28 |
| 66.81 | 11 |
| 69.56 | 34 |

Structure:
Unit cell a=4.6087 b=4.6087 c=4.6271 alpha=98.56 beta=98.56 gamma=35.37
Element x y z (fractional)
Zn: 0.1224 0.1224 0.3897
Zn: 0.8776 0.8776 0.6103
Ru: 0.3710 0.3710 0.1041
Ru: 0.6290 0.6290 0.8959

---

Starting from DFT lattice parameters and positions (PBE), the X-ray diffraction stick pattern of NpNbRh2 was computed for a wavelength of 1.5418 Å.
Lines closer than 0.1° are merged.

The 10 most intense peaks (2θ = 5–70°), sorted by position:
| two_theta | intensity |
| --- | --- |
| 11.05 | 18 |
| 22.20 | 5 |
| 32.42 | 13 |
| 33.57 | 5 |
| 37.95 | 100 |
| 43.50 | 35 |
| 45.30 | 14 |
| 56.05 | 5 |
| 63.21 | 11 |
| 64.61 | 20 |

Structure:
Unit cell a=2.9419 b=2.9419 c=8.0082 alpha=90.00 beta=90.00 gamma=90.00
Element x y z (fractional)
Np: 0.0000 0.0000 0.0000
Nb: 0.0000 0.0000 0.5000
Rh: 0.5000 0.5000 0.2678
Rh: 0.5000 0.5000 0.7322

---

Starting from DFT lattice parameters and positions (PBE), the X-ray diffraction stick pattern of La2AlZn4Ga3 was computed for a wavelength of 1.5418 Å.
Lines closer than 0.1° are merged.

The 10 most intense peaks (2θ = 5–70°), sorted by position:
| two_theta | intensity |
| --- | --- |
| 29.25 | 25 |
| 32.58 | 72 |
| 33.81 | 100 |
| 41.84 | 59 |
| 45.09 | 9 |
| 47.46 | 35 |
| 54.01 | 34 |
| 60.13 | 11 |
| 60.66 | 19 |
| 65.09 | 27 |

Structure:
Unit cell a=4.3177 b=4.3177 c=10.6892 alpha=90.00 beta=90.00 gamma=90.00
Element x y z (fractional)
La: 0.0000 0.5000 0.2472
La: 0.5000 0.0000 0.7528
Al: 0.0000 0.0000 0.5000
Zn: 0.0000 0.0000 0.0000
Zn: 0.0000 0.5000 0.6354
Zn: 0.5000 0.0000 0.3646
Zn: 0.5000 0.5000 0.0000
Ga: 0.0000 0.5000 0.8674
Ga: 0.5000 0.0000 0.1326
Ga: 0.5000 0.5000 0.5000

---

Starting from DFT lattice parameters and positions (PBE), the X-ray diffraction stick pattern of KAc2NpO6 was computed for a wavelength of 1.5418 Å.
Lines closer than 0.1° are merged.

The 10 most intense peaks (2θ = 5–70°), sorted by position:
| two_theta | intensity |
| --- | --- |
| 16.60 | 35 |
| 27.25 | 100 |
| 27.96 | 22 |
| 29.17 | 21 |
| 31.17 | 13 |
| 40.85 | 22 |
| 42.36 | 17 |
| 49.04 | 23 |
| 50.56 | 21 |
| 56.21 | 10 |

Structure:
Unit cell a=6.1220 b=6.3822 c=11.5010 alpha=90.00 beta=122.07 gamma=90.00
Element x y z (fractional)
K: 0.0000 0.0000 0.0000
K: 0.0000 0.5000 0.5000
Ac: 0.2159 0.0019 0.7167
Ac: 0.2159 0.4981 0.2167
Ac: 0.7841 0.5019 0.7833
Ac: 0.7841 0.9981 0.2833
Np: 0.5000 0.0000 0.5000
Np: 0.5000 0.5000 0.0000
O: 0.1864 0.7026 0.8438
O: 0.1864 0.7974 0.3438
O: 0.2002 0.1537 0.4987
O: 0.2002 0.3463 0.9987
O: 0.4954 0.1950 0.3395
O: 0.4954 0.3050 0.8395
O: 0.5046 0.6950 0.1605
O: 0.5046 0.8050 0.6605
O: 0.7998 0.6537 0.0013
O: 0.7998 0.8463 0.5013
O: 0.8136 0.2026 0.6562
O: 0.8136 0.2974 0.1562